Entry 1:
The following is a theoretical powder diffractogram of V4HgI8. It was derived from a structure optimized by DFT (PBE), using Cu Kα.
Intensities are scaled so that the largest is 100.

Crystal structure
```
data_V4HgI8
_cell_length_a 14.2486
_cell_length_b 8.2274
_cell_length_c 12.3149
_cell_angle_alpha 90.00
_cell_angle_beta 125.27
_cell_angle_gamma 90.00
_space_group_name_H-M_alt 'C 1 2/m 1'
_space_group_IT_number 12
_space_group_name_Hall '-C 2y'
loop_
_atom_site_label
_atom_site_type_symbol
_atom_site_fract_x
_atom_site_fract_y
_atom_site_fract_z
V1 V 0.0000 0.2501 0.0000
V2 V 0.2501 0.0000 0.0000
Hg1 Hg 0.0000 0.0000 0.5000
I1 I 0.0057 0.0000 0.8446
I2 I 0.0055 0.5000 0.8442
I3 I 0.2443 0.2498 0.1555
```

The 10 most intense peaks (2θ from 10° to 90°), by intensity:
- 26.56°, I = 100
- 30.76°, I = 90
- 44.06°, I = 64
- 52.18°, I = 39
- 72.71°, I = 19
- 54.67°, I = 17
- 13.18°, I = 17
- 36.82°, I = 15
- 70.58°, I = 13
- 80.98°, I = 12


Entry 2:
The following is a theoretical powder diffractogram of YHg2I. It was derived from a structure optimized by DFT (PBE), using Cu Kα.
Intensities are scaled so that the largest is 100.

Crystal structure
```
data_YHg2I
_cell_length_a 8.0789
_cell_length_b 3.9387
_cell_length_c 8.1449
_cell_angle_alpha 90.00
_cell_angle_beta 108.94
_cell_angle_gamma 90.00
_space_group_name_H-M_alt 'P 1 m 1'
_space_group_IT_number 6
_space_group_name_Hall 'P -2y'
loop_
_atom_site_label
_atom_site_type_symbol
_atom_site_fract_x
_atom_site_fract_y
_atom_site_fract_z
Y1 Y 0.0000 0.0000 0.0000
Y2 Y 0.4655 0.5000 0.5352
Hg1 Hg 0.3115 0.5000 0.0322
Hg2 Hg 0.4942 0.0000 0.8438
Hg3 Hg 0.5774 0.0000 0.2947
Hg4 Hg 0.7564 0.5000 0.1096
I1 I 0.1477 0.0000 0.4103
I2 I 0.8782 0.5000 0.6844
```

The 10 most intense peaks (2θ from 10° to 90°), by intensity:
- 11.53°, I = 100
- 32.51°, I = 93
- 32.65°, I = 89
- 31.99°, I = 72
- 31.88°, I = 72
- 29.27°, I = 37
- 27.01°, I = 37
- 46.09°, I = 35
- 29.15°, I = 35
- 37.23°, I = 32


Entry 3:
The following is a theoretical powder diffractogram of YHgI6. It was derived from a structure optimized by DFT (PBE), using Cu Kα.
Intensities are scaled so that the largest is 100.

Crystal structure
```
data_YHgI6
_cell_length_a 7.4090
_cell_length_b 7.7265
_cell_length_c 7.8823
_cell_angle_alpha 111.61
_cell_angle_beta 94.85
_cell_angle_gamma 115.94
_space_group_name_H-M_alt 'P -1'
_space_group_IT_number 2
_space_group_name_Hall '-P 1'
loop_
_atom_site_label
_atom_site_type_symbol
_atom_site_fract_x
_atom_site_fract_y
_atom_site_fract_z
Y1 Y 0.0000 0.0000 0.0000
Hg1 Hg 0.5000 0.0000 0.5000
I1 I 0.2125 0.8057 0.7645
I2 I 0.2578 0.1567 0.4177
I3 I 0.2639 0.4530 0.0425
```

The 10 most intense peaks (2θ from 10° to 90°), by intensity:
- 23.07°, I = 100
- 26.72°, I = 59
- 34.22°, I = 39
- 36.90°, I = 38
- 28.98°, I = 35
- 14.29°, I = 34
- 38.09°, I = 34
- 26.93°, I = 32
- 42.14°, I = 30
- 26.48°, I = 30


Entry 4:
The following is a theoretical powder diffractogram of ZnHg3I9. It was derived from a structure optimized by DFT (PBE), using Cu Kα.
Intensities are scaled so that the largest is 100.

Crystal structure
```
data_ZnHg3I9
_cell_length_a 20.9301
_cell_length_b 9.8833
_cell_length_c 14.7863
_cell_angle_alpha 90.00
_cell_angle_beta 120.37
_cell_angle_gamma 90.00
_space_group_name_H-M_alt 'C 1 c 1'
_space_group_IT_number 9
_space_group_name_Hall 'C -2yc'
loop_
_atom_site_label
_atom_site_type_symbol
_atom_site_fract_x
_atom_site_fract_y
_atom_site_fract_z
Zn1 Zn 0.0000 0.0132 0.0000
Hg1 Hg 0.0971 0.3939 0.2100
Hg2 Hg 0.2056 0.2529 0.5811
Hg3 Hg 0.4340 0.2659 0.1909
I1 I 0.0645 0.3939 0.8093
I2 I 0.1291 0.0751 0.6501
I3 I 0.1919 0.2150 0.3803
I4 I 0.2002 0.4746 0.1398
I5 I 0.3078 0.1535 0.1831
I6 I 0.3571 0.1634 0.7119
I7 I 0.3901 0.3618 0.9862
I8 I 0.4755 0.2315 0.5328
I9 I 0.4856 0.4841 0.8132
```

The 10 most intense peaks (2θ from 10° to 90°), by intensity:
- 15.55°, I = 100
- 13.88°, I = 76
- 20.54°, I = 47
- 23.13°, I = 45
- 41.67°, I = 45
- 24.45°, I = 44
- 19.23°, I = 42
- 27.54°, I = 36
- 25.52°, I = 36
- 33.02°, I = 33


Entry 5:
The following is a theoretical powder diffractogram of ZnHgI5. It was derived from a structure optimized by DFT (PBE), using Cu Kα.
Intensities are scaled so that the largest is 100.

Crystal structure
```
data_ZnHgI5
_cell_length_a 16.3122
_cell_length_b 8.4049
_cell_length_c 10.3275
_cell_angle_alpha 90.00
_cell_angle_beta 90.00
_cell_angle_gamma 90.00
_space_group_name_H-M_alt 'P n m a'
_space_group_IT_number 62
_space_group_name_Hall '-P 2ac 2n'
loop_
_atom_site_label
_atom_site_type_symbol
_atom_site_fract_x
_atom_site_fract_y
_atom_site_fract_z
Zn1 Zn 0.1738 0.2500 0.0537
Hg1 Hg 0.0349 0.7500 0.2555
I1 I 0.0000 0.0000 0.5000
I2 I 0.1330 0.2500 0.8087
I3 I 0.1589 0.7500 0.5743
I4 I 0.1608 0.5158 0.1840
```

The 10 most intense peaks (2θ from 10° to 90°), by intensity:
- 13.58°, I = 100
- 29.51°, I = 91
- 14.63°, I = 87
- 17.42°, I = 65
- 31.78°, I = 56
- 28.01°, I = 56
- 25.35°, I = 52
- 41.41°, I = 50
- 18.44°, I = 39
- 18.02°, I = 39


Entry 6:
The following is a theoretical powder diffractogram of Zn5HgI12. It was derived from a structure optimized by DFT (PBE), using Cu Kα.
Intensities are scaled so that the largest is 100.

Crystal structure
```
data_Zn5HgI12
_cell_length_a 4.2359
_cell_length_b 12.3276
_cell_length_c 16.3285
_cell_angle_alpha 109.94
_cell_angle_beta 97.29
_cell_angle_gamma 90.67
_space_group_name_H-M_alt 'P -1'
_space_group_IT_number 2
_space_group_name_Hall '-P 1'
loop_
_atom_site_label
_atom_site_type_symbol
_atom_site_fract_x
_atom_site_fract_y
_atom_site_fract_z
Zn1 Zn 0.0000 0.0000 0.0000
Zn2 Zn 0.2264 0.1825 0.4342
Zn3 Zn 0.4710 0.3553 0.9453
Hg1 Hg 0.5000 0.5000 0.5000
I1 I 0.0615 0.7829 0.1099
I2 I 0.1948 0.3371 0.3461
I3 I 0.3011 0.9549 0.6184
I4 I 0.3141 0.8847 0.8833
I5 I 0.3314 0.3237 0.5944
I6 I 0.4425 0.5284 0.8833
```

The 10 most intense peaks (2θ from 10° to 90°), by intensity:
- 23.68°, I = 100
- 11.64°, I = 69
- 25.49°, I = 50
- 23.41°, I = 44
- 24.92°, I = 36
- 25.74°, I = 34
- 25.09°, I = 30
- 11.51°, I = 29
- 42.87°, I = 28
- 36.74°, I = 26


Repeat the first record exactly.
The following is a theoretical powder diffractogram of V4HgI8. It was derived from a structure optimized by DFT (PBE), using Cu Kα.
Intensities are scaled so that the largest is 100.

Crystal structure
```
data_V4HgI8
_cell_length_a 14.2486
_cell_length_b 8.2274
_cell_length_c 12.3149
_cell_angle_alpha 90.00
_cell_angle_beta 125.27
_cell_angle_gamma 90.00
_space_group_name_H-M_alt 'C 1 2/m 1'
_space_group_IT_number 12
_space_group_name_Hall '-C 2y'
loop_
_atom_site_label
_atom_site_type_symbol
_atom_site_fract_x
_atom_site_fract_y
_atom_site_fract_z
V1 V 0.0000 0.2501 0.0000
V2 V 0.2501 0.0000 0.0000
Hg1 Hg 0.0000 0.0000 0.5000
I1 I 0.0057 0.0000 0.8446
I2 I 0.0055 0.5000 0.8442
I3 I 0.2443 0.2498 0.1555
```

The 10 most intense peaks (2θ from 10° to 90°), by intensity:
- 26.56°, I = 100
- 30.76°, I = 90
- 44.06°, I = 64
- 52.18°, I = 39
- 72.71°, I = 19
- 54.67°, I = 17
- 13.18°, I = 17
- 36.82°, I = 15
- 70.58°, I = 13
- 80.98°, I = 12